Starting from a cell relaxed with PBE+U, the X-ray powder pattern of LaVO4 was calculated for Cu Kα (λ = 1.5418 Å).
Peak positions follow from Bragg's law for the DFT cell and can differ from measured ones.

Cell and atoms:
```
LaVO4
1.0
-3.768 3.768 3.300
3.768 -3.768 3.300
3.768 3.768 -3.300
La V O
2 2 8
direct
0.375 0.625 0.750
0.625 0.375 0.250
0.125 0.875 0.250
0.875 0.125 0.750
0.134 0.706 0.428
0.222 0.294 0.928
0.294 0.222 0.428
0.294 0.866 0.072
0.706 0.134 0.928
0.706 0.778 0.572
0.778 0.706 0.072
0.866 0.294 0.572
```

Largest 6 diffraction maxima, by angle, 2θ = 10–90°:
2θ (°), I (rel.)
17.87, 28
23.61, 100
31.90, 67
33.64, 21
47.04, 58
59.06, 17



Starting from a cell relaxed with PBE+U, the X-ray powder pattern of Li4V2Si3O12 was calculated for Cu Kα (λ = 1.5418 Å).
Peak positions follow from Bragg's law for the DFT cell and can differ from measured ones.

Cell and atoms:
```
Li4V2Si3O12
1.0
4.464 2.577 6.719
-4.464 2.577 6.719
0.000 -5.155 6.719
Li V Si O
8 4 6 24
direct
0.000 0.000 0.000
0.164 0.750 0.336
0.250 0.664 0.836
0.336 0.164 0.750
0.500 0.500 0.500
0.664 0.836 0.250
0.750 0.336 0.164
0.836 0.250 0.664
0.139 0.139 0.139
0.361 0.361 0.361
0.639 0.639 0.639
0.861 0.861 0.861
0.040 0.460 0.750
0.250 0.960 0.540
0.460 0.750 0.040
0.540 0.250 0.960
0.750 0.040 0.460
0.960 0.540 0.250
0.009 0.632 0.810
0.059 0.257 0.912
0.088 0.941 0.743
0.132 0.509 0.310
0.190 0.991 0.368
0.243 0.441 0.588
0.257 0.912 0.059
0.310 0.132 0.509
0.368 0.190 0.991
0.412 0.757 0.559
0.441 0.588 0.243
0.491 0.690 0.868
0.509 0.310 0.132
0.559 0.412 0.757
0.588 0.243 0.441
0.632 0.810 0.009
0.690 0.868 0.491
0.743 0.088 0.941
0.757 0.559 0.412
0.810 0.009 0.632
0.868 0.491 0.690
0.912 0.059 0.257
0.941 0.743 0.088
0.991 0.368 0.190
```

Largest 6 diffraction maxima, by angle, 2θ = 10–90°:
2θ (°), I (rel.)
19.89, 38
21.04, 70
23.93, 100
29.11, 35
30.92, 29
33.38, 31